FeCuRh2: computed powder diffractogram (CuKα), based on the GGA-PBE geometry in Alexandria.
Intensities are scaled so that the largest is 100.

Crystal structure
a = 8.8887 Å, b = 2.7048 Å, c = 4.5290 Å
α = 90.00°, β = 100.93°, γ = 90.00°
Space group Cm (No. 8)
Unique sites:
Fe1 0.0000 0.0000 0.0000 x2
Cu1 0.2484 0.5000 0.2514 x2
Rh1 0.9999 0.5000 0.4964 x2
Rh2 0.2494 0.0000 0.7574 x2

Largest 10 diffraction maxima, most intense first, 15° ≤ 2θ ≤ 90°:
Position (°2θ), d [Å], intensity
41.4, 2.182, 100.0
47.8, 1.903, 43.3
42.0, 2.153, 31.9
49.4, 1.845, 19.5
84.6, 1.145, 15.4
70.8, 1.331, 12.7
71.6, 1.318, 12.2
89.9, 1.091, 10.2
84.2, 1.150, 7.8
85.4, 1.137, 7.5